[1]
Structure and calculated X-ray powder pattern of GdReB4 (a GGA-PBE-relaxed structure; Cu Kα).
Kinematic intensities with the Lorentz-polarization factor, no thermal factor.

The 6 most intense peaks (2θ from 5° to 70°), by angle:
| d/Å | 2theta | intensity |
| --- | --- | --- |
| 3.632 | 24.51 | 98 |
| 2.902 | 30.81 | 84 |
| 2.369 | 37.98 | 34 |
| 2.267 | 39.76 | 100 |
| 2.120 | 42.64 | 34 |
| 1.984 | 45.72 | 47 |

Structural model:
```
data_GdReB4
_cell_length_a 5.9943
_cell_length_b 11.6062
_cell_length_c 3.6317
_cell_angle_alpha 90.00
_cell_angle_beta 90.00
_cell_angle_gamma 90.00
_symmetry_space_group_name_H-M 'P 1'
_symmetry_Int_Tables_number 1
_symmetry_space_group_name_Hall 'P 1'
loop_
_atom_site_label
_atom_site_fract_x
_atom_site_fract_y
_atom_site_fract_z
Gd1 0.1261 0.1506 0.0000
Gd2 0.3739 0.6506 0.0000
Gd3 0.6261 0.3494 0.0000
Gd4 0.8739 0.8494 0.0000
Re1 0.1323 0.4131 0.0000
Re2 0.3677 0.9131 0.0000
Re3 0.6323 0.0869 0.0000
Re4 0.8677 0.5869 0.0000
B1 0.0225 0.6913 0.5000
B2 0.1134 0.5469 0.5000
B3 0.1371 0.9685 0.5000
B4 0.2134 0.8157 0.5000
B5 0.2866 0.3157 0.5000
B6 0.3629 0.4685 0.5000
B7 0.3866 0.0469 0.5000
B8 0.4775 0.1913 0.5000
B9 0.5225 0.8087 0.5000
B10 0.6134 0.9531 0.5000
B11 0.6371 0.5315 0.5000
B12 0.7134 0.6843 0.5000
B13 0.7866 0.1843 0.5000
B14 0.8629 0.0315 0.5000
B15 0.8866 0.4531 0.5000
B16 0.9775 0.3087 0.5000
```

[2]
Structure and calculated X-ray powder pattern of GdB2Rh3 (a GGA-PBE-relaxed structure; Cu Kα).
Kinematic intensities with the Lorentz-polarization factor, no thermal factor.

The 6 most intense peaks (2θ from 5° to 70°), by angle:
| d/Å | 2theta | intensity |
| --- | --- | --- |
| 2.610 | 34.35 | 78 |
| 2.365 | 38.04 | 100 |
| 2.058 | 44.00 | 47 |
| 1.553 | 59.54 | 32 |
| 1.408 | 66.38 | 13 |
| 1.366 | 68.74 | 19 |

Structural model:
```
data_GdB2Rh3
_cell_length_a 5.4625
_cell_length_b 5.4625
_cell_length_c 3.1302
_cell_angle_alpha 90.00
_cell_angle_beta 90.00
_cell_angle_gamma 120.00
_symmetry_space_group_name_H-M 'P 1'
_symmetry_Int_Tables_number 1
_symmetry_space_group_name_Hall 'P 1'
loop_
_atom_site_label
_atom_site_fract_x
_atom_site_fract_y
_atom_site_fract_z
Gd1 0.0000 0.0000 0.0000
B1 0.3333 0.6667 0.0000
B2 0.6667 0.3333 0.0000
Rh1 0.0000 0.5000 0.5000
Rh2 0.5000 0.0000 0.5000
Rh3 0.5000 0.5000 0.5000
```

[3]
Structure and calculated X-ray powder pattern of GdBRh3 (a GGA-PBE-relaxed structure; Cu Kα).
Kinematic intensities with the Lorentz-polarization factor, no thermal factor.

The 6 most intense peaks (2θ from 5° to 70°), by angle:
| d/Å | 2theta | intensity |
| --- | --- | --- |
| 4.225 | 21.03 | 2 |
| 2.987 | 29.91 | 4 |
| 2.439 | 36.85 | 100 |
| 2.112 | 42.81 | 52 |
| 1.725 | 53.10 | 2 |
| 1.494 | 62.14 | 34 |

Structural model:
```
data_GdBRh3
_cell_length_a 4.2250
_cell_length_b 4.2250
_cell_length_c 4.2250
_cell_angle_alpha 90.00
_cell_angle_beta 90.00
_cell_angle_gamma 90.00
_symmetry_space_group_name_H-M 'P 1'
_symmetry_Int_Tables_number 1
_symmetry_space_group_name_Hall 'P 1'
loop_
_atom_site_label
_atom_site_fract_x
_atom_site_fract_y
_atom_site_fract_z
Gd1 0.0000 0.0000 0.0000
B1 0.5000 0.5000 0.5000
Rh1 0.0000 0.5000 0.5000
Rh2 0.5000 0.0000 0.5000
Rh3 0.5000 0.5000 0.0000
```

[4]
Structure and calculated X-ray powder pattern of GdB2Ru2 (a GGA-PBE-relaxed structure; Cu Kα).
Kinematic intensities with the Lorentz-polarization factor, no thermal factor.

The 6 most intense peaks (2θ from 5° to 70°), by angle:
| d/Å | 2theta | intensity |
| --- | --- | --- |
| 2.795 | 32.02 | 98 |
| 2.667 | 33.61 | 100 |
| 2.251 | 40.05 | 33 |
| 2.101 | 43.06 | 49 |
| 1.794 | 50.89 | 27 |
| 1.563 | 59.10 | 19 |

Structural model:
```
data_GdB2Ru2
_cell_length_a 6.6715
_cell_length_b 5.9321
_cell_length_c 5.5880
_cell_angle_alpha 70.70
_cell_angle_beta 57.06
_cell_angle_gamma 52.24
_symmetry_space_group_name_H-M 'P 1'
_symmetry_Int_Tables_number 1
_symmetry_space_group_name_Hall 'P 1'
loop_
_atom_site_label
_atom_site_fract_x
_atom_site_fract_y
_atom_site_fract_z
Gd1 0.1250 0.1250 0.1250
Gd2 0.8750 0.8750 0.8750
B1 0.1887 0.5613 0.1887
B2 0.4387 0.8113 0.4387
B3 0.5613 0.1887 0.5613
B4 0.8113 0.4387 0.8113
Ru1 0.2370 0.2370 0.5130
Ru2 0.4870 0.4870 0.7630
Ru3 0.5130 0.5130 0.2370
Ru4 0.7630 0.7630 0.4870
```